Entry 1:
For Pa3P4, DFT lattice parameters and positions (GGA-PBE) gives the theoretical powder X-ray diffraction pattern in this record (a wavelength of 1.5418 Å).

Cell and atoms:
```
Pa3P4
1.0
-4.144 4.144 4.144
4.144 -4.144 4.144
4.144 4.144 -4.144
Pa P
6 8
Direct
0.125 0.750 0.875
0.250 0.625 0.375
0.375 0.250 0.625
0.625 0.375 0.250
0.750 0.875 0.125
0.875 0.125 0.750
0.000 0.340 0.500
0.000 0.840 0.500
0.160 0.160 0.160
0.340 0.500 0.000
0.500 0.000 0.340
0.500 0.000 0.840
0.660 0.660 0.660
0.840 0.500 0.000
```

Top 10 peaks for 15 to 90 degrees two-theta, by intensity:
26.3°, d = 3.383 Å, I = 1000; 34.2°, d = 2.621 Å, I = 622; 40.7°, d = 2.215 Å, I = 404; 49.2°, d = 1.853 Å, I = 334; 70.0°, d = 1.344 Å, I = 289; 56.6°, d = 1.625 Å, I = 274; 86.2°, d = 1.128 Å, I = 220; 51.7°, d = 1.767 Å, I = 217; 74.1°, d = 1.279 Å, I = 118; 30.5°, d = 2.930 Å, I = 107

=====

Entry 2:
For TeW2Se3, DFT lattice parameters and positions (GGA-PBE) gives the theoretical powder X-ray diffraction pattern in this record (a wavelength of 1.5418 Å).

Cell and atoms:
```
TeW2Se3
1.0
3.380 0.000 0.000
-1.690 2.928 0.000
0.000 0.000 38.560
Te W Se
2 4 6
Direct
0.000 0.000 0.000
0.000 0.000 0.098
0.000 0.000 0.485
0.000 0.000 0.861
0.333 0.667 0.049
0.333 0.667 0.673
0.000 0.000 0.630
0.000 0.000 0.716
0.333 0.667 0.442
0.333 0.667 0.529
0.333 0.667 0.818
0.333 0.667 0.904
```

Top 10 peaks for 15 to 90 degrees two-theta, by intensity:
35.9°, d = 2.502 Å, I = 1000; 43.4°, d = 2.084 Å, I = 620; 30.5°, d = 2.926 Å, I = 453; 54.3°, d = 1.690 Å, I = 352; 45.2°, d = 2.006 Å, I = 217; 32.7°, d = 2.737 Å, I = 189; 76.6°, d = 1.244 Å, I = 167; 66.8°, d = 1.401 Å, I = 164; 55.7°, d = 1.651 Å, I = 157; 71.9°, d = 1.313 Å, I = 139

=====

Entry 3:
For AgSbTe2, DFT lattice parameters and positions (GGA-PBE) gives the theoretical powder X-ray diffraction pattern in this record (a wavelength of 1.5418 Å).

Cell and atoms:
```
AgSbTe2
1.0
4.349 0.000 0.000
0.000 4.349 0.000
0.000 0.000 6.061
Ag Sb Te
1 1 2
Direct
0.000 0.000 0.000
0.500 0.500 0.500
0.000 0.000 0.500
0.500 0.500 0.000
```

Top 10 peaks for 15 to 90 degrees two-theta, by intensity:
29.0°, d = 3.075 Å, I = 1000; 41.9°, d = 2.158 Å, I = 733; 29.5°, d = 3.030 Å, I = 481; 51.7°, d = 1.767 Å, I = 390; 41.5°, d = 2.174 Å, I = 375; 76.0°, d = 1.252 Å, I = 244; 68.2°, d = 1.375 Å, I = 167; 68.4°, d = 1.371 Å, I = 165; 69.1°, d = 1.359 Å, I = 160; 60.2°, d = 1.538 Å, I = 122

=====

Entry 4:
For Ba3Ta5O15, DFT lattice parameters and positions (GGA-PBE) gives the theoretical powder X-ray diffraction pattern in this record (a wavelength of 1.5418 Å).

Cell and atoms:
```
Ba3Ta5O15
1.0
12.766 0.000 0.000
0.000 12.766 0.000
0.000 0.000 4.017
Ba Ta O
6 10 30
Direct
0.000 0.000 0.000
0.169 0.331 0.000
0.331 0.831 0.000
0.500 0.500 0.000
0.669 0.169 0.000
0.831 0.669 0.000
0.000 0.500 0.500
0.077 0.787 0.500
0.213 0.077 0.500
0.287 0.577 0.500
0.423 0.287 0.500
0.500 0.000 0.500
0.577 0.713 0.500
0.713 0.423 0.500
0.787 0.923 0.500
0.923 0.213 0.500
0.000 0.500 0.000
0.006 0.344 0.500
0.068 0.141 0.500
0.078 0.792 0.000
0.141 0.932 0.500
0.156 0.494 0.500
0.208 0.078 0.000
0.218 0.718 0.500
0.282 0.218 0.500
0.292 0.578 0.000
0.344 0.994 0.500
0.359 0.432 0.500
0.422 0.292 0.000
0.432 0.641 0.500
0.494 0.844 0.500
0.500 0.000 0.000
0.506 0.156 0.500
0.568 0.359 0.500
0.578 0.708 0.000
0.641 0.568 0.500
0.656 0.006 0.500
0.708 0.422 0.000
0.718 0.782 0.500
0.782 0.282 0.500
0.792 0.922 0.000
0.844 0.506 0.500
0.859 0.068 0.500
0.922 0.208 0.000
0.932 0.859 0.500
0.994 0.656 0.500
```

Top 10 peaks for 15 to 90 degrees two-theta, by intensity:
31.4°, d = 2.850 Å, I = 1000; 28.8°, d = 3.096 Å, I = 507; 27.1°, d = 3.286 Å, I = 429; 25.2°, d = 3.541 Å, I = 283; 50.6°, d = 1.805 Å, I = 256; 55.8°, d = 1.647 Å, I = 244; 29.7°, d = 3.003 Å, I = 229; 45.1°, d = 2.009 Å, I = 205; 22.1°, d = 4.017 Å, I = 199; 33.7°, d = 2.656 Å, I = 197